Diffraction record for GaFeTeO6. The powder diffractogram is computed, not measured: it uses the PBE+U geometry in Alexandria and λ = 1.5418 Å (Cu Kα).
Lines closer than 0.1° are merged.

Structural model:
```
GaFeTeO6
1.0
5.0673 0.0000 0.0000
-2.5336 4.3884 0.0000
0.0000 0.0000 8.8869
Ga Fe Te O
2 2 2 12
direct
0.3333 0.6667 0.2500
0.6667 0.3333 0.7500
0.0000 0.0000 0.0000
0.0000 0.0000 0.5000
0.3333 0.6667 0.7500
0.6667 0.3333 0.2500
0.0072 0.3471 0.6298
0.0072 0.6601 0.8702
0.3399 0.3471 0.8702
0.3399 0.9928 0.6298
0.3471 0.0072 0.1298
0.3471 0.3399 0.3702
0.6529 0.6601 0.6298
0.6529 0.9928 0.8702
0.6601 0.0072 0.3702
0.6601 0.6529 0.1298
0.9928 0.3399 0.1298
0.9928 0.6529 0.3702
```

Main lines, in order of rising 2θ (5 to 70 degrees two-theta):
d [Å]  intensity
4.443  33.1
3.122  100.0
2.534  48.0
2.201  37.4
1.967  25.8
1.670  54.5
1.554  23.5
1.463  21.6